Record 1
Simulated X-ray powder pattern of PPt2Rh for Cu Ka, from a structure optimized by DFT (PBE).

Principal peaks in the range 10° ≤ 2θ ≤ 90°, low angle first:
d (Å), 2theta, I/Imax, index
5.352, 16.6, 23, 0 0 2
2.801, 32.0, 32, 1 0 2
2.475, 36.3, 73, 0 1 3
2.319, 38.8, 100, 1 1 1
2.075, 43.6, 55, 1 0 4
1.369, 68.5, 23, 2 1 3
1.323, 71.3, 26, 1 2 4
1.286, 73.7, 21, 1 1 7

Crystal structure
a b c (Å): 3.2872 3.4354 10.7045
angles (deg): 90.00 90.00 90.00
Space group Amm2 (No. 38)
One atom of each set of equivalent atoms:
P 0.0000 0.0000 0.0000
Pt 0.0000 0.0000 0.2133
Pt 0.5000 0.0000 0.8457
Rh 0.5000 0.0000 0.5627

Record 2
Simulated X-ray powder pattern of Tb3P2Pt2Rh5 for Cu Ka, from a structure optimized by DFT (PBE).

Principal peaks in the range 10° ≤ 2θ ≤ 90°, low angle first:
d (Å), 2theta, I/Imax, index
2.822, 31.7, 37, 1 1 0
2.760, 32.4, 43, 1 1 2
2.739, 32.7, 46, 1 0 7
2.594, 34.6, 47, 1 1 4
2.374, 37.9, 100, 1 1 6
2.361, 38.1, 54, 1 0 9
2.054, 44.1, 31, 1 0 11
1.996, 45.5, 79, 2 0 0

Crystal structure
a b c (Å): 3.9911 3.9911 26.3566
angles (deg): 90.00 90.00 90.00
Space group I4/mmm (No. 139)
One atom of each set of equivalent atoms:
Tb 0.0000 0.0000 0.0000
Tb 0.0000 0.0000 0.1707
P 0.0000 0.0000 0.3731
Pt 0.0000 0.0000 0.2836
Rh 0.0000 0.0000 0.5000
Rh 0.0000 0.5000 0.0827

Record 3
Simulated X-ray powder pattern of Th2PPt2Rh4 for Cu Ka, from a structure optimized by DFT (PBE).

Principal peaks in the range 10° ≤ 2θ ≤ 90°, low angle first:
d (Å), 2theta, I/Imax, index
4.320, 20.6, 9, 0 0 2
3.060, 29.2, 13, 2 0 0
2.497, 36.0, 100, 2 0 2
2.163, 41.8, 54, 2 2 0
1.529, 60.5, 35, 4 0 0
1.305, 72.4, 25, 4 2 2
1.303, 72.5, 11, 2 0 6
1.249, 76.3, 12, 4 0 4

Crystal structure
a b c (Å): 6.1205 6.1205 8.6403
angles (deg): 90.00 90.00 90.00
Space group I4/mmm (No. 139)
One atom of each set of equivalent atoms:
Th 0.0000 0.5000 0.2500
P 0.0000 0.0000 0.0000
Pt 0.0000 0.0000 0.2703
Rh 0.2372 0.2372 0.5000